Theoretical powder diffractogram of Ga2SnIr for Cu Ka, from a DFT-relaxed cell (PBE, Alexandria).

Atomic structure:
```
data_Ga2SnIr
_chemical_formula_sum 'Ga4 Sn2 Ir2'
_symmetry_space_group_name_H-M 'P 1 21/m 1'
_symmetry_Int_Tables_number 11
_cell_length_a 3.8504
_cell_length_b 8.2679
_cell_length_c 4.9717
_cell_angle_alpha 90.00
_cell_angle_beta 112.61
_cell_angle_gamma 90.00
loop_
_symmetry_equiv_pos_as_xyz
'x,y,z'
'-x,-y,-z'
'-x,y+1/2,-z'
'x,-y+1/2,z'
loop_
_atom_site_label
_atom_site_fract_x
_atom_site_fract_y
_atom_site_fract_z
Ga1 0.1401 0.0414 0.2794
Sn1 0.4271 0.2500 0.8548
Ir1 0.2824 0.7500 0.5658
```

Peak list (6 most intense, 10 to 90 degrees two-theta, by intensity)
33.26 deg, d = 2.693 Å, intensity 100; 39.10 deg, d = 2.304 Å, intensity 52; 39.21 deg, d = 2.298 Å, intensity 52; 21.50 deg, d = 4.134 Å, intensity 46; 41.48 deg, d = 2.177 Å, intensity 46; 40.81 deg, d = 2.211 Å, intensity 40

Theoretical powder diffractogram of Sr2Ga4Ir for Cu Ka, from a DFT-relaxed cell (PBE, Alexandria).

Atomic structure:
```
data_Sr2Ga4Ir
_chemical_formula_sum 'Sr4 Ga8 Ir2'
_symmetry_space_group_name_H-M 'I 4/m m m'
_symmetry_Int_Tables_number 139
_symmetry_space_group_name_Hall '-I 4 2'
_cell_length_a 4.7715
_cell_length_b 4.7715
_cell_length_c 16.6335
_cell_angle_alpha 90.00
_cell_angle_beta 90.00
_cell_angle_gamma 90.00
loop_
_atom_site_label
_atom_site_fract_x
_atom_site_fract_y
_atom_site_fract_z
Sr1 0.0000 0.0000 0.1574
Ga1 0.0000 0.0000 0.3469
Ga2 0.0000 0.5000 0.0000
Ir1 0.0000 0.0000 0.5000
```

Peak list (6 most intense, 10 to 90 degrees two-theta, by intensity)
10.64 deg, d = 8.317 Å, intensity 100; 37.71 deg, d = 2.386 Å, intensity 95; 50.47 deg, d = 1.808 Å, intensity 74; 26.42 deg, d = 3.374 Å, intensity 74; 19.35 deg, d = 4.586 Å, intensity 71; 32.29 deg, d = 2.772 Å, intensity 66

Theoretical powder diffractogram of Sr2Ga9Ir3 for Cu Ka, from a DFT-relaxed cell (PBE, Alexandria).

Atomic structure:
```
data_Sr2Ga9Ir3
_chemical_formula_sum 'Sr8 Ga36 Ir12'
_symmetry_space_group_name_H-M 'C 1 2/c 1'
_symmetry_Int_Tables_number 15
_cell_length_a 13.3197
_cell_length_b 7.6293
_cell_length_c 10.8894
_cell_angle_alpha 90.00
_cell_angle_beta 114.18
_cell_angle_gamma 90.00
loop_
_symmetry_equiv_pos_as_xyz
'x,y,z'
'-x,-y,-z'
'-x,y,-z+1/2'
'x,-y,z+1/2'
'x+1/2,y+1/2,z'
'-x+1/2,-y+1/2,-z'
'-x+1/2,y+1/2,-z+1/2'
'x+1/2,-y+1/2,z+1/2'
loop_
_atom_site_label
_atom_site_fract_x
_atom_site_fract_y
_atom_site_fract_z
Sr1 0.1681 0.0833 0.2488
Ga1 0.0000 0.3756 0.2500
Ga2 0.0592 0.0875 0.9263
Ga3 0.1004 0.4170 0.0565
Ga4 0.1017 0.3163 0.7488
Ga5 0.2243 0.4180 0.4309
Ir1 0.0852 0.2442 0.5006
Ir2 0.2500 0.2500 0.0000
```

Peak list (6 most intense, 10 to 90 degrees two-theta, by intensity)
40.90 deg, d = 2.207 Å, intensity 100; 35.82 deg, d = 2.507 Å, intensity 67; 17.86 deg, d = 4.967 Å, intensity 66; 29.41 deg, d = 3.037 Å, intensity 63; 44.95 deg, d = 2.017 Å, intensity 61; 43.41 deg, d = 2.085 Å, intensity 52

Theoretical powder diffractogram of Sr2ZnGaIr2 for Cu Ka, from a DFT-relaxed cell (PBE, Alexandria).

Atomic structure:
```
data_Sr2ZnGaIr2
_chemical_formula_sum 'Sr8 Zn4 Ga4 Ir8'
_symmetry_space_group_name_H-M 'I b a m'
_symmetry_Int_Tables_number 72
_symmetry_space_group_name_Hall '-I 2 2c'
_cell_length_a 6.2359
_cell_length_b 14.1007
_cell_length_c 6.2499
_cell_angle_alpha 90.00
_cell_angle_beta 90.00
_cell_angle_gamma 90.00
loop_
_atom_site_label
_atom_site_fract_x
_atom_site_fract_y
_atom_site_fract_z
Sr1 0.2457 0.1696 0.0000
Zn1 0.0000 0.0000 0.2500
Ga1 0.0000 0.5000 0.2500
Ir1 0.2401 0.4061 0.0000
```

Peak list (6 most intense, 10 to 90 degrees two-theta, by intensity)
32.50 deg, d = 2.755 Å, intensity 100; 38.52 deg, d = 2.337 Å, intensity 84; 40.89 deg, d = 2.207 Å, intensity 72; 28.60 deg, d = 3.121 Å, intensity 64; 12.56 deg, d = 7.050 Å, intensity 49; 53.18 deg, d = 1.722 Å, intensity 49

Theoretical powder diffractogram of Th2TaGa3Ir4 for Cu Ka, from a DFT-relaxed cell (PBE, Alexandria).

Atomic structure:
```
data_Th2TaGa3Ir4
_chemical_formula_sum 'Th2 Ta1 Ga3 Ir4'
_symmetry_space_group_name_H-M 'P -4 m 2'
_symmetry_Int_Tables_number 115
_cell_length_a 4.2515
_cell_length_b 4.2515
_cell_length_c 10.6426
_cell_angle_alpha 90.00
_cell_angle_beta 90.00
_cell_angle_gamma 90.00
loop_
_symmetry_equiv_pos_as_xyz
'x,y,z'
'y,-x,-z'
'-x,-y,z'
'-y,x,-z'
'-x,y,z'
'-y,-x,-z'
'x,-y,z'
'y,x,-z'
loop_
_atom_site_label
_atom_site_fract_x
_atom_site_fract_y
_atom_site_fract_z
Th1 0.0000 0.5000 0.2352
Ta1 0.0000 0.0000 0.5000
Ga1 0.0000 0.5000 0.8749
Ga2 0.5000 0.5000 0.5000
Ir1 0.0000 0.0000 0.0000
Ir2 0.0000 0.5000 0.6410
Ir3 0.5000 0.5000 0.0000
```

Peak list (6 most intense, 10 to 90 degrees two-theta, by intensity)
34.26 deg, d = 2.617 Å, intensity 100; 42.53 deg, d = 2.126 Å, intensity 55; 32.88 deg, d = 2.724 Å, intensity 44; 47.79 deg, d = 1.903 Å, intensity 24; 72.52 deg, d = 1.303 Å, intensity 23; 54.78 deg, d = 1.676 Å, intensity 21

Theoretical powder diffractogram of Tb4GaIr4 for Cu Ka, from a DFT-relaxed cell (PBE, Alexandria).

Atomic structure:
```
data_Tb4GaIr4
_chemical_formula_sum 'Tb8 Ga2 Ir8'
_symmetry_space_group_name_H-M 'P 42/n'
_symmetry_Int_Tables_number 86
_cell_length_a 8.5232
_cell_length_b 8.5232
_cell_length_c 5.6030
_cell_angle_alpha 90.00
_cell_angle_beta 90.00
_cell_angle_gamma 90.00
loop_
_symmetry_equiv_pos_as_xyz
'x,y,z'
'-x,-y,-z'
'-y,x+1/2,z+1/2'
'y,-x+1/2,-z+1/2'
'-x+1/2,-y+1/2,z'
'x+1/2,y+1/2,-z'
'y+1/2,-x,z+1/2'
'-y+1/2,x,-z+1/2'
loop_
_atom_site_label
_atom_site_fract_x
_atom_site_fract_y
_atom_site_fract_z
Tb1 0.0517 0.8182 0.1126
Ga1 0.2500 0.2500 0.2500
Ir1 0.0045 0.1344 0.3883
```

Peak list (6 most intense, 10 to 90 degrees two-theta, by intensity)
33.24 deg, d = 2.695 Å, intensity 100; 39.94 deg, d = 2.257 Å, intensity 63; 33.69 deg, d = 2.660 Å, intensity 52; 50.53 deg, d = 1.806 Å, intensity 35; 47.72 deg, d = 1.906 Å, intensity 19; 55.22 deg, d = 1.663 Å, intensity 18